No. 1
Theoretical XRD peak list of Er4Co2Pt for copper Kα, from a structure optimized by DFT (PBE).
Kinematic intensities with the Lorentz-polarization factor, no thermal factor.

Structure:
```
data_Er4Co2Pt
_space_group_name_H-M_alt 'I 21 21 21'
_space_group_IT_number 24
_space_group_name_Hall 'I 2b 2c'
_cell_length_a 8.307
_cell_length_b 8.472
_cell_length_c 8.472
_cell_angle_alpha 90.00
_cell_angle_beta 90.00
_cell_angle_gamma 90.00
loop_
_atom_site_label
_atom_site_type_symbol
_atom_site_fract_x
_atom_site_fract_y
_atom_site_fract_z
Er1 Er 0.055 0.062 0.433
Er2 Er 0.194 0.317 0.812
Co1 Co 0.000 0.250 0.128
Co2 Co 0.250 0.377 0.500
Pt1 Pt 0.125 0.000 0.750
```

Peak list (10 most intense, 5 to 70 degrees two-theta, by intensity)
| Position (°2θ) | Rel. int. | (hkl) |
| --- | --- | --- |
| 33.5 | 100 | 1 3 0 |
| 34.1 | 58 | 3 0 1 |
| 40.1 | 43 | 2 3 1 |
| 39.9 | 40 | 1 2 3 |
| 30.1 | 25 | 2 2 0 |
| 55.3 | 19 | 1 4 3 |
| 56.0 | 15 | 4 3 1 |
| 55.7 | 14 | 3 1 4 |
| 53.1 | 12 | 2 4 2 |
| 40.3 | 11 | 3 1 2 |



No. 2
Theoretical XRD peak list of ErPuCo4 for copper Kα, from a structure optimized by DFT (PBE).
Kinematic intensities with the Lorentz-polarization factor, no thermal factor.

Structure:
```
data_ErPuCo4
_space_group_name_H-M_alt 'F -4 3 m'
_space_group_IT_number 216
_space_group_name_Hall 'F -4 2 3'
_cell_length_a 7.109
_cell_length_b 7.109
_cell_length_c 7.109
_cell_angle_alpha 90.00
_cell_angle_beta 90.00
_cell_angle_gamma 90.00
loop_
_atom_site_label
_atom_site_type_symbol
_atom_site_fract_x
_atom_site_fract_y
_atom_site_fract_z
Er1 Er 0.000 0.000 0.000
Pu1 Pu 0.250 0.250 0.750
Co1 Co 0.125 0.125 0.375
```

Peak list (10 most intense, 5 to 70 degrees two-theta, by intensity)
| Position (°2θ) | Rel. int. | (hkl) |
| --- | --- | --- |
| 42.2 | 100 | 3 1 1 |
| 35.7 | 75 | 2 2 0 |
| 68.6 | 31 | 5 1 1 |
| 21.7 | 29 | 1 1 1 |
| 64.2 | 28 | 4 2 2 |
| 44.1 | 11 | 2 2 2 |
| 56.4 | 8 | 3 3 1 |
| 25.1 | 3 | 2 0 0 |
| 51.4 | 2 | 4 0 0 |
| 58.0 | 1 | 4 2 0 |



No. 3
Theoretical XRD peak list of Er8Co2Rh for copper Kα, from a structure optimized by DFT (PBE).
Kinematic intensities with the Lorentz-polarization factor, no thermal factor.

Structure:
```
data_Er8Co2Rh
_space_group_name_H-M_alt 'C 1 m 1'
_space_group_IT_number 8
_space_group_name_Hall 'C -2y'
_cell_length_a 8.064
_cell_length_b 12.250
_cell_length_c 5.825
_cell_angle_alpha 90.00
_cell_angle_beta 108.14
_cell_angle_gamma 90.00
loop_
_atom_site_label
_atom_site_type_symbol
_atom_site_fract_x
_atom_site_fract_y
_atom_site_fract_z
Er1 Er 0.000 0.000 0.000
Er2 Er 0.074 0.369 0.777
Er3 Er 0.158 0.131 0.586
Er4 Er 0.226 0.500 0.370
Er5 Er 0.364 0.217 0.185
Co1 Co 0.366 0.309 0.685
Rh1 Rh 0.361 0.000 0.317
```

Peak list (10 most intense, 5 to 70 degrees two-theta, by intensity)
| Position (°2θ) | Rel. int. | (hkl) |
| --- | --- | --- |
| 31.6 | 100 | 1 1 -2 |
| 33.4 | 73 | 0 4 1 |
| 32.3 | 70 | 2 0 1 |
| 40.5 | 57 | 1 5 -1 |
| 34.6 | 55 | 3 1 -1 |
| 37.6 | 40 | 2 4 0 |
| 27.9 | 28 | 2 2 -1 |
| 35.6 | 28 | 0 2 2 |
| 51.7 | 23 | 3 5 0 |
| 36.7 | 23 | 2 2 -2 |



No. 4
Theoretical XRD peak list of Er4CoRh3 for copper Kα, from a structure optimized by DFT (PBE).
Kinematic intensities with the Lorentz-polarization factor, no thermal factor.

Structure:
```
data_Er4CoRh3
_space_group_name_H-M_alt 'P m m m'
_space_group_IT_number 47
_space_group_name_Hall '-P 2 2'
_cell_length_a 3.355
_cell_length_b 4.789
_cell_length_c 9.566
_cell_angle_alpha 90.00
_cell_angle_beta 90.00
_cell_angle_gamma 90.00
loop_
_atom_site_label
_atom_site_type_symbol
_atom_site_fract_x
_atom_site_fract_y
_atom_site_fract_z
Er1 Er 0.000 0.000 0.000
Er2 Er 0.000 0.000 0.500
Er3 Er 0.000 0.500 0.245
Co1 Co 0.500 0.500 0.000
Rh1 Rh 0.500 0.000 0.250
Rh2 Rh 0.500 0.500 0.500
```

Peak list (10 most intense, 5 to 70 degrees two-theta, by intensity)
| Position (°2θ) | Rel. int. | (hkl) |
| --- | --- | --- |
| 37.8 | 100 | 1 1 2 |
| 37.6 | 51 | 0 2 0 |
| 67.9 | 35 | 1 3 2 |
| 54.2 | 17 | 0 2 4 |
| 68.3 | 17 | 2 2 0 |
| 26.3 | 9 | 0 1 2 |
| 54.7 | 9 | 2 0 0 |
| 26.6 | 4 | 1 0 0 |
| 46.6 | 4 | 1 2 0 |
| 61.2 | 2 | 0 3 2 |



No. 5
Theoretical XRD peak list of ErCoRu for copper Kα, from a structure optimized by DFT (PBE).
Kinematic intensities with the Lorentz-polarization factor, no thermal factor.

Structure:
```
data_ErCoRu
_space_group_name_H-M_alt 'I m m a'
_space_group_IT_number 74
_space_group_name_Hall '-I 2b 2'
_cell_length_a 5.128
_cell_length_b 5.171
_cell_length_c 7.389
_cell_angle_alpha 90.00
_cell_angle_beta 90.00
_cell_angle_gamma 90.00
loop_
_atom_site_label
_atom_site_type_symbol
_atom_site_fract_x
_atom_site_fract_y
_atom_site_fract_z
Er1 Er 0.000 0.250 0.126
Co1 Co 0.250 0.250 0.750
Ru1 Ru 0.000 0.000 0.500
```

Peak list (10 most intense, 5 to 70 degrees two-theta, by intensity)
| Position (°2θ) | Rel. int. | (hkl) |
| --- | --- | --- |
| 41.0 | 100 | 1 2 1 |
| 34.6 | 90 | 1 1 2 |
| 40.6 | 86 | 1 0 3 |
| 41.1 | 66 | 2 1 1 |
| 35.0 | 34 | 2 0 0 |
| 66.6 | 27 | 3 0 3 |
| 42.7 | 25 | 0 2 2 |
| 42.9 | 24 | 2 0 2 |
| 66.8 | 23 | 3 2 1 |
| 65.7 | 20 | 1 0 5 |



No. 6
Theoretical XRD peak list of Er4Co3Ru for copper Kα, from a structure optimized by DFT (PBE).
Kinematic intensities with the Lorentz-polarization factor, no thermal factor.

Structure:
```
data_Er4Co3Ru
_space_group_name_H-M_alt 'P m m m'
_space_group_IT_number 47
_space_group_name_Hall '-P 2 2'
_cell_length_a 3.347
_cell_length_b 4.684
_cell_length_c 9.340
_cell_angle_alpha 90.00
_cell_angle_beta 90.00
_cell_angle_gamma 90.00
loop_
_atom_site_label
_atom_site_type_symbol
_atom_site_fract_x
_atom_site_fract_y
_atom_site_fract_z
Er1 Er 0.000 0.000 0.000
Er2 Er 0.000 0.000 0.500
Er3 Er 0.000 0.500 0.248
Co1 Co 0.500 0.000 0.247
Co2 Co 0.500 0.500 0.000
Ru1 Ru 0.500 0.500 0.500
```

Peak list (10 most intense, 5 to 70 degrees two-theta, by intensity)
| Position (°2θ) | Rel. int. | (hkl) |
| --- | --- | --- |
| 38.3 | 100 | 1 1 2 |
| 38.4 | 25 | 0 2 0 |
| 38.6 | 24 | 0 0 4 |
| 27.0 | 19 | 0 1 2 |
| 69.0 | 17 | 2 2 0 |
| 69.4 | 17 | 1 3 2 |
| 69.6 | 17 | 1 1 6 |
| 55.6 | 17 | 0 2 4 |
| 26.6 | 10 | 1 0 0 |
| 54.9 | 9 | 2 0 0 |



No. 7
Theoretical XRD peak list of YErCoRu for copper Kα, from a structure optimized by DFT (PBE).
Kinematic intensities with the Lorentz-polarization factor, no thermal factor.

Structure:
```
data_YErCoRu
_space_group_name_H-M_alt 'P 4 m m'
_space_group_IT_number 99
_space_group_name_Hall 'P 4 -2'
_cell_length_a 3.381
_cell_length_b 3.381
_cell_length_c 6.659
_cell_angle_alpha 90.00
_cell_angle_beta 90.00
_cell_angle_gamma 90.00
loop_
_atom_site_label
_atom_site_type_symbol
_atom_site_fract_x
_atom_site_fract_y
_atom_site_fract_z
Y1 Y 0.000 0.000 0.000
Er1 Er 0.000 0.000 0.503
Co1 Co 0.500 0.500 0.746
Ru1 Ru 0.500 0.500 0.257
```

Peak list (10 most intense, 5 to 70 degrees two-theta, by intensity)
| Position (°2θ) | Rel. int. | (hkl) |
| --- | --- | --- |
| 37.9 | 100 | 1 0 2 |
| 37.6 | 51 | 1 1 0 |
| 68.1 | 35 | 2 1 2 |
| 54.3 | 17 | 2 0 0 |
| 68.7 | 17 | 1 1 4 |
| 13.3 | 14 | 0 0 1 |
| 55.2 | 8 | 0 0 4 |
| 29.6 | 7 | 1 0 1 |
| 26.4 | 6 | 1 0 0 |
| 40.1 | 4 | 1 1 1 |



No. 8
Theoretical XRD peak list of Er7CoS5 for copper Kα, from a structure optimized by DFT (PBE).
Kinematic intensities with the Lorentz-polarization factor, no thermal factor.

Structure:
```
data_Er7CoS5
_space_group_name_H-M_alt 'C m c 21'
_space_group_IT_number 36
_space_group_name_Hall 'C 2c -2'
_cell_length_a 3.782
_cell_length_b 12.737
_cell_length_c 23.237
_cell_angle_alpha 90.00
_cell_angle_beta 90.00
_cell_angle_gamma 90.00
loop_
_atom_site_label
_atom_site_type_symbol
_atom_site_fract_x
_atom_site_fract_y
_atom_site_fract_z
Er1 Er 0.000 0.043 0.000
Er2 Er 0.000 0.138 0.713
Er3 Er 0.000 0.140 0.287
Er4 Er 0.000 0.300 0.930
Er5 Er 0.000 0.301 0.070
Er6 Er 0.000 0.409 0.636
Er7 Er 0.000 0.410 0.364
Co1 Co 0.000 0.308 0.501
S1 S 0.000 0.054 0.392
S2 S 0.000 0.054 0.608
S3 S 0.000 0.223 0.821
S4 S 0.000 0.224 0.179
S5 S 0.000 0.499 0.750
```

Peak list (10 most intense, 5 to 70 degrees two-theta, by intensity)
| Position (°2θ) | Rel. int. | (hkl) |
| --- | --- | --- |
| 30.4 | 100 | 0 2 7 |
| 32.6 | 81 | 1 3 2 |
| 29.0 | 73 | 1 1 4 |
| 33.8 | 56 | 1 3 3 |
| 28.3 | 33 | 0 4 1 |
| 58.0 | 33 | 2 2 7 |
| 33.9 | 31 | 0 2 8 |
| 27.2 | 31 | 1 1 3 |
| 48.1 | 30 | 2 0 0 |
| 43.0 | 29 | 1 1 9 |



No. 9
Theoretical XRD peak list of Er3Sc2Co2 for copper Kα, from a structure optimized by DFT (PBE).
Kinematic intensities with the Lorentz-polarization factor, no thermal factor.

Structure:
```
data_Er3Sc2Co2
_space_group_name_H-M_alt 'C 1 2/m 1'
_space_group_IT_number 12
_space_group_name_Hall '-C 2y'
_cell_length_a 11.484
_cell_length_b 3.540
_cell_length_c 8.470
_cell_angle_alpha 90.00
_cell_angle_beta 115.35
_cell_angle_gamma 90.00
loop_
_atom_site_label
_atom_site_type_symbol
_atom_site_fract_x
_atom_site_fract_y
_atom_site_fract_z
Er1 Er 0.000 0.000 0.000
Er2 Er 0.115 0.000 0.430
Sc1 Sc 0.174 0.500 0.815
Co1 Co 0.186 0.500 0.234
```

Peak list (10 most intense, 5 to 70 degrees two-theta, by intensity)
| Position (°2θ) | Rel. int. | (hkl) |
| --- | --- | --- |
| 34.5 | 100 | 2 0 2 |
| 38.1 | 45 | 1 1 2 |
| 16.0 | 45 | 2 0 -1 |
| 26.6 | 42 | 1 1 0 |
| 31.8 | 31 | 2 0 -3 |
| 41.4 | 26 | 1 1 -3 |
| 31.3 | 25 | 4 0 -1 |
| 36.7 | 20 | 3 1 -2 |
| 51.6 | 18 | 0 2 0 |
| 33.0 | 17 | 1 1 -2 |



No. 10
Theoretical XRD peak list of ErSc3Co2 for copper Kα, from a structure optimized by DFT (PBE).
Kinematic intensities with the Lorentz-polarization factor, no thermal factor.

Structure:
```
data_ErSc3Co2
_space_group_name_H-M_alt 'C 1 2/m 1'
_space_group_IT_number 12
_space_group_name_Hall '-C 2y'
_cell_length_a 16.775
_cell_length_b 3.801
_cell_length_c 8.740
_cell_angle_alpha 90.00
_cell_angle_beta 121.27
_cell_angle_gamma 90.00
loop_
_atom_site_label
_atom_site_type_symbol
_atom_site_fract_x
_atom_site_fract_y
_atom_site_fract_z
Er1 Er 0.127 0.000 0.127
Sc1 Sc 0.000 0.000 0.331
Sc2 Sc 0.167 0.500 0.483
Sc3 Sc 0.168 0.500 0.853
Co1 Co 0.000 0.500 0.133
Co2 Co 0.181 0.000 0.681
```

Peak list (10 most intense, 5 to 70 degrees two-theta, by intensity)
| Position (°2θ) | Rel. int. | (hkl) |
| --- | --- | --- |
| 36.5 | 100 | 1 1 2 |
| 35.9 | 86 | 5 1 -1 |
| 11.9 | 85 | 0 0 1 |
| 31.8 | 52 | 3 1 -2 |
| 32.3 | 32 | 2 0 2 |
| 41.0 | 32 | 5 1 -3 |
| 47.9 | 30 | 0 2 0 |
| 20.3 | 29 | 2 0 -2 |
| 32.9 | 25 | 6 0 -1 |
| 37.6 | 23 | 6 0 0 |



No. 11
Theoretical XRD peak list of ErSc5Co2 for copper Kα, from a structure optimized by DFT (PBE).
Kinematic intensities with the Lorentz-polarization factor, no thermal factor.

Structure:
```
data_ErSc5Co2
_space_group_name_H-M_alt 'C m c m'
_space_group_IT_number 63
_space_group_name_Hall '-C 2c 2'
_cell_length_a 3.422
_cell_length_b 12.096
_cell_length_c 16.772
_cell_angle_alpha 90.00
_cell_angle_beta 90.00
_cell_angle_gamma 90.00
loop_
_atom_site_label
_atom_site_type_symbol
_atom_site_fract_x
_atom_site_fract_y
_atom_site_fract_z
Er1 Er 0.000 0.186 0.250
Sc1 Sc 0.000 0.085 0.750
Sc2 Sc 0.000 0.167 0.054
Sc3 Sc 0.000 0.436 0.091
Co1 Co 0.000 0.214 0.630
```

Peak list (10 most intense, 5 to 70 degrees two-theta, by intensity)
| Position (°2θ) | Rel. int. | (hkl) |
| --- | --- | --- |
| 38.3 | 100 | 1 1 5 |
| 14.6 | 96 | 0 2 0 |
| 34.4 | 87 | 1 3 0 |
| 40.1 | 65 | 0 4 5 |
| 38.1 | 62 | 1 3 3 |
| 10.5 | 61 | 0 0 2 |
| 30.0 | 42 | 0 4 1 |
| 32.0 | 41 | 0 0 6 |
| 30.5 | 32 | 0 2 5 |
| 69.0 | 31 | 2 4 5 |



No. 12
Theoretical XRD peak list of ErSc3Co for copper Kα, from a structure optimized by DFT (PBE).
Kinematic intensities with the Lorentz-polarization factor, no thermal factor.

Structure:
```
data_ErSc3Co
_space_group_name_H-M_alt 'C 1 2/m 1'
_space_group_IT_number 12
_space_group_name_Hall '-C 2y'
_cell_length_a 12.277
_cell_length_b 3.533
_cell_length_c 10.460
_cell_angle_alpha 90.00
_cell_angle_beta 93.61
_cell_angle_gamma 90.00
loop_
_atom_site_label
_atom_site_type_symbol
_atom_site_fract_x
_atom_site_fract_y
_atom_site_fract_z
Er1 Er 0.146 0.000 0.085
Sc1 Sc 0.060 0.000 0.374
Sc2 Sc 0.078 0.500 0.823
Sc3 Sc 0.226 0.000 0.636
Co1 Co 0.091 0.500 0.561
```

Peak list (10 most intense, 5 to 70 degrees two-theta, by intensity)
| Position (°2θ) | Rel. int. | (hkl) |
| --- | --- | --- |
| 35.0 | 100 | 3 1 1 |
| 36.6 | 89 | 2 0 -4 |
| 27.5 | 55 | 1 1 -1 |
| 31.2 | 44 | 1 1 -2 |
| 51.8 | 40 | 0 2 0 |
| 33.0 | 38 | 4 0 -2 |
| 23.1 | 34 | 2 0 2 |
| 33.5 | 29 | 3 1 0 |
| 17.0 | 27 | 0 0 2 |
| 21.7 | 27 | 2 0 -2 |